For Zr2N2O, the GGA-PBE geometry in the Materials Project gives the theoretical powder X-ray diffraction pattern in this record (CuKα).
Lines closer than 0.1° are merged.

Largest 12 diffraction maxima, by intensity, 2θ from 5° to 70°:
| 2theta | I_rel |
| --- | --- |
| 38.36 | 100 |
| 17.11 | 85 |
| 34.11 | 65 |
| 32.39 | 52 |
| 5.34 | 42 |
| 40.98 | 39 |
| 55.90 | 31 |
| 34.62 | 27 |
| 31.76 | 26 |
| 26.58 | 24 |
| 58.84 | 20 |
| 28.60 | 19 |

Structure:
Cell: 5.6251 5.6251 17.1999 Å, 104.96 104.96 33.84°
Fractional positions:
Zr  0.0014  0.0014  0.3318
Zr  0.2262  0.2262  0.5754
Zr  0.2313  0.2313  0.2434
Zr  0.2397  0.2397  0.9147
Zr  0.7603  0.7603  0.0853
Zr  0.7687  0.7687  0.7566
Zr  0.7738  0.7738  0.4246
Zr  0.9986  0.9986  0.6682
N  0.1549  0.1549  0.7822
N  0.1556  0.1556  0.4464
N  0.3781  0.3781  0.7031
N  0.3814  0.3814  0.3692
N  0.6186  0.6186  0.6308
N  0.6219  0.6219  0.2969
N  0.8444  0.8444  0.5536
N  0.8451  0.8451  0.2178
O  0.1546  0.1546  0.1186
O  0.3470  0.3470  0.0426
O  0.6530  0.6530  0.9574
O  0.8454  0.8454  0.8814


For Na2Cu3H8C8O16, the GGA-PBE geometry in the Materials Project gives the theoretical powder X-ray diffraction pattern in this record (CuKα).
Lines closer than 0.1° are merged.

Largest 12 diffraction maxima, by intensity, 2θ from 5° to 70°:
| 2theta | I_rel |
| --- | --- |
| 12.70 | 100 |
| 12.59 | 52 |
| 18.70 | 24 |
| 29.60 | 24 |
| 17.09 | 23 |
| 11.87 | 21 |
| 31.83 | 20 |
| 21.06 | 19 |
| 19.45 | 12 |
| 13.19 | 12 |
| 42.04 | 12 |
| 27.97 | 9 |

Structure:
Cell: 7.8226 7.9800 8.9207 Å, 112.93 109.25 97.82°
Fractional positions:
Na  0.0397  0.2656  0.0182
Na  0.9603  0.7344  0.9818
Cu  0.3907  0.0373  0.0838
Cu  0.5000  0.5000  0.5000
Cu  0.6093  0.9627  0.9162
H  0.0793  0.0724  0.3778
H  0.1511  0.5349  0.6661
H  0.2968  0.2416  0.7422
H  0.3555  0.7980  0.4209
H  0.6445  0.2020  0.5791
H  0.7032  0.7584  0.2578
H  0.8489  0.4651  0.3339
H  0.9207  0.9276  0.6222
C  0.1911  0.1439  0.3522
C  0.2451  0.6603  0.3185
C  0.2544  0.6774  0.7646
C  0.3545  0.1663  0.8193
C  0.6455  0.8337  0.1807
C  0.7456  0.3226  0.2354
C  0.7549  0.3397  0.6815
C  0.8089  0.8561  0.6478
O  0.0911  0.6562  0.2122
O  0.1768  0.0715  0.1935
O  0.2103  0.7799  0.8869
O  0.2837  0.5063  0.3141
O  0.2874  0.1634  0.9306
O  0.3173  0.2905  0.4907
O  0.4032  0.7178  0.7418
O  0.4797  0.0946  0.7844
O  0.5203  0.9054  0.2156
O  0.5968  0.2822  0.2582
O  0.6827  0.7095  0.5093
O  0.7126  0.8366  0.0694
O  0.7163  0.4937  0.6859
O  0.7897  0.2201  0.1131
O  0.8232  0.9285  0.8065
O  0.9089  0.3438  0.7878


For BaSrNdSbO6, the GGA-PBE geometry in the Materials Project gives the theoretical powder X-ray diffraction pattern in this record (CuKα).
Lines closer than 0.1° are merged.

Largest 12 diffraction maxima, by intensity, 2θ from 5° to 70°:
| 2theta | I_rel |
| --- | --- |
| 29.30 | 100 |
| 51.95 | 40 |
| 41.91 | 31 |
| 60.77 | 19 |
| 68.87 | 18 |
| 20.60 | 4 |
| 17.82 | 2 |
| 34.50 | 2 |
| 47.14 | 1 |
| 45.87 | 1 |
| 64.89 | 1 |
| 55.37 | 1 |

Structure:
Cell: 6.0969 6.0969 6.0969 Å, 60.00 60.00 60.00°
Fractional positions:
Ba  0.0000  0.0000  0.0000
Sr  0.5000  0.5000  0.5000
Nd  0.7500  0.7500  0.7500
Sb  0.2500  0.2500  0.2500
O  0.0174  0.0174  0.4826
O  0.0174  0.4826  0.0174
O  0.0174  0.4826  0.4826
O  0.4826  0.0174  0.0174
O  0.4826  0.0174  0.4826
O  0.4826  0.4826  0.0174


For SmCoC2, the GGA-PBE geometry in the Materials Project gives the theoretical powder X-ray diffraction pattern in this record (CuKα).
Lines closer than 0.1° are merged.

Largest 12 diffraction maxima, by intensity, 2θ from 5° to 70°:
| 2theta | I_rel |
| --- | --- |
| 34.61 | 100 |
| 24.57 | 30 |
| 38.42 | 24 |
| 29.55 | 20 |
| 49.51 | 17 |
| 39.84 | 17 |
| 55.72 | 16 |
| 56.54 | 13 |
| 50.37 | 13 |
| 68.98 | 12 |
| 49.14 | 12 |
| 65.03 | 8 |

Structure:
Cell: 3.7083 4.5255 6.0465 Å, 90.00 90.00 90.00°
Fractional positions:
Sm  0.0000  0.0000  0.0000
Sm  0.0000  0.5000  0.5000
Co  0.5000  0.0000  0.6134
Co  0.5000  0.5000  0.1134
C  0.5000  0.1524  0.3043
C  0.5000  0.3476  0.8043
C  0.5000  0.6524  0.8043
C  0.5000  0.8476  0.3043


For KMnCl3, the GGA-PBE geometry in the Materials Project gives the theoretical powder X-ray diffraction pattern in this record (CuKα).
Lines closer than 0.1° are merged.

Largest 12 diffraction maxima, by intensity, 2θ from 5° to 70°:
| 2theta | I_rel |
| --- | --- |
| 31.04 | 100 |
| 32.86 | 78 |
| 32.23 | 35 |
| 50.66 | 34 |
| 45.68 | 32 |
| 12.11 | 31 |
| 46.53 | 29 |
| 31.65 | 27 |
| 15.68 | 26 |
| 38.49 | 26 |
| 11.62 | 23 |
| 20.79 | 21 |

Structure:
Cell: 8.9240 3.9036 14.6129 Å, 90.00 90.00 90.00°
Fractional positions:
K  0.0635  0.2500  0.1756
K  0.4365  0.7500  0.6756
K  0.5635  0.2500  0.3244
K  0.9365  0.7500  0.8244
Mn  0.1652  0.7500  0.4439
Mn  0.3348  0.2500  0.9439
Mn  0.6652  0.7500  0.0561
Mn  0.8348  0.2500  0.5561
Cl  0.0204  0.7500  0.5976
Cl  0.1744  0.7500  0.0039
Cl  0.2228  0.2500  0.7931
Cl  0.2772  0.7500  0.2931
Cl  0.3256  0.2500  0.5039
Cl  0.4796  0.2500  0.0976
Cl  0.5204  0.7500  0.9024
Cl  0.6744  0.7500  0.4961
Cl  0.7228  0.2500  0.7069
Cl  0.7772  0.7500  0.2069
Cl  0.8256  0.2500  0.9961
Cl  0.9796  0.2500  0.4024


For CsNaTiO3, the GGA-PBE geometry in the Materials Project gives the theoretical powder X-ray diffraction pattern in this record (CuKα).
Lines closer than 0.1° are merged.

Largest 12 diffraction maxima, by intensity, 2θ from 5° to 70°:
| 2theta | I_rel |
| --- | --- |
| 31.96 | 100 |
| 22.83 | 57 |
| 43.67 | 41 |
| 29.40 | 37 |
| 31.55 | 29 |
| 31.40 | 24 |
| 53.79 | 23 |
| 33.43 | 20 |
| 56.44 | 20 |
| 35.36 | 18 |
| 54.77 | 17 |
| 15.55 | 11 |

Structure:
Cell: 6.4564 6.4564 5.6711 Å, 90.00 90.00 123.87°
Fractional positions:
Cs  0.2323  0.7677  0.7500
Cs  0.7677  0.2323  0.2500
Na  0.0738  0.9262  0.2500
Na  0.9262  0.0738  0.7500
Ti  0.4511  0.5489  0.2500
Ti  0.5489  0.4511  0.7500
O  0.2893  0.2893  0.0000
O  0.2893  0.2893  0.5000
O  0.2958  0.7042  0.2500
O  0.7042  0.2958  0.7500
O  0.7107  0.7107  0.0000
O  0.7107  0.7107  0.5000


For Gd2Al9Rh3, the GGA-PBE geometry in the Materials Project gives the theoretical powder X-ray diffraction pattern in this record (CuKα).
Lines closer than 0.1° are merged.

Largest 12 diffraction maxima, by intensity, 2θ from 5° to 70°:
| 2theta | I_rel |
| --- | --- |
| 30.20 | 100 |
| 41.15 | 92 |
| 37.01 | 70 |
| 25.36 | 54 |
| 30.06 | 52 |
| 37.83 | 46 |
| 41.49 | 44 |
| 57.13 | 41 |
| 36.89 | 34 |
| 52.08 | 30 |
| 63.62 | 30 |
| 16.38 | 28 |

Structure:
Cell: 7.5589 7.5589 9.5121 Å, 90.00 90.00 60.52°
Fractional positions:
Gd  0.0045  0.6687  0.7500
Gd  0.3313  0.9955  0.7500
Gd  0.6687  0.0045  0.2500
Gd  0.9955  0.3313  0.2500
Al  0.0019  0.6655  0.0731
Al  0.0019  0.6655  0.4269
Al  0.1259  0.8741  0.2500
Al  0.3341  0.6659  0.5534
Al  0.3341  0.6659  0.9466
Al  0.3345  0.9981  0.0731
Al  0.3345  0.9981  0.4269
Al  0.3370  0.4533  0.2500
Al  0.4533  0.3370  0.7500
Al  0.5467  0.6630  0.2500
Al  0.6630  0.5467  0.7500
Al  0.6655  0.0019  0.5731
Al  0.6655  0.0019  0.9269
Al  0.6659  0.3341  0.0534
Al  0.6659  0.3341  0.4466
Al  0.8741  0.1259  0.7500
Al  0.9981  0.3345  0.5731
Al  0.9981  0.3345  0.9269
Rh  0.0000  0.0000  0.0000
Rh  0.0000  0.0000  0.5000
Rh  0.3284  0.3284  0.0000
Rh  0.3284  0.3284  0.5000
Rh  0.6716  0.6716  0.0000
Rh  0.6716  0.6716  0.5000


For Li2HgGe, the GGA-PBE geometry in the Materials Project gives the theoretical powder X-ray diffraction pattern in this record (CuKα).
Lines closer than 0.1° are merged.

Largest 8 diffraction maxima, by intensity, 2θ from 5° to 70°:
| 2theta | I_rel |
| --- | --- |
| 27.55 | 100 |
| 39.36 | 91 |
| 23.80 | 41 |
| 64.35 | 37 |
| 48.72 | 29 |
| 46.52 | 22 |
| 56.89 | 16 |
| 62.54 | 10 |

Structure:
Cell: 6.4743 6.4743 6.4743 Å, 90.00 90.00 90.00°
Fractional positions:
Li  0.2500  0.2500  0.2500
Li  0.2500  0.2500  0.7500
Li  0.2500  0.7500  0.2500
Li  0.2500  0.7500  0.7500
Li  0.7500  0.2500  0.2500
Li  0.7500  0.2500  0.7500
Li  0.7500  0.7500  0.2500
Li  0.7500  0.7500  0.7500
Hg  0.0000  0.0000  0.0000
Hg  0.0000  0.5000  0.5000
Hg  0.5000  0.0000  0.5000
Hg  0.5000  0.5000  0.0000
Ge  0.0000  0.0000  0.5000
Ge  0.0000  0.5000  0.0000
Ge  0.5000  0.0000  0.0000
Ge  0.5000  0.5000  0.5000